(1)
The following is a computed powder diffraction line list of LiLuHfPd. It was derived from a DFT-relaxed cell (GGA-PBE, OQMD), using Cu Ka.

Largest 8 diffraction maxima, in order of falling intensity, 2θ = 15–90°:
d_spacing	Position (°2θ)	I/Imax
2.393	37.58	100.0
1.382	67.83	35.5
3.384	26.33	32.4
1.692	54.20	17.5
1.514	61.24	12.9
3.908	22.75	12.4
1.197	80.22	11.2
1.954	46.47	9.6

Structure:
Cell lengths 4.7863, 4.7863, 4.7863 Å; angles 60.00, 60.00, 60.00 degrees
Element x y z (fractional)
Li  0.0000  0.0000  0.0000
Lu  0.2500  0.2500  0.2500
Hf  0.7500  0.7500  0.7500
Pd  0.5000  0.5000  0.5000

---

(2)
The following is a computed powder diffraction line list of LiHfNbOs. It was derived from a DFT-relaxed cell (GGA-PBE, OQMD), using Cu Ka.

Largest 8 diffraction maxima, in order of falling intensity, 2θ = 15–90°:
d_spacing	Position (°2θ)	I/Imax
2.271	39.69	100.0
3.709	24.00	44.5
1.311	72.02	34.8
1.937	46.91	23.1
1.606	57.38	17.1
1.136	85.52	11.3
1.474	63.09	9.7
1.236	77.16	7.3

Structure:
Cell lengths 4.5421, 4.5421, 4.5421 Å; angles 60.00, 60.00, 60.00 degrees
Element x y z (fractional)
Li  0.0000  0.0000  0.0000
Hf  0.7500  0.7500  0.7500
Nb  0.2500  0.2500  0.2500
Os  0.5000  0.5000  0.5000

---

(3)
The following is a computed powder diffraction line list of Li4Hf2O5. It was derived from a DFT-relaxed cell (GGA-PBE, OQMD), using Cu Ka.

Largest 8 diffraction maxima, in order of falling intensity, 2θ = 15–90°:
d_spacing	Position (°2θ)	I/Imax
4.180	21.26	100.0
3.023	29.55	71.9
2.450	36.69	65.1
4.054	21.92	54.7
2.138	42.28	53.0
1.903	47.79	46.7
1.494	62.11	32.3
2.910	30.72	31.6

Structure:
Cell lengths 6.7633, 6.7633, 4.1799 Å; angles 90.00, 90.00, 143.17 degrees
Element x y z (fractional)
Li  0.0000  0.0000  0.0000
Li  0.1666  0.8334  0.5000
Li  0.5000  0.5000  0.5000
Li  0.8334  0.1666  0.5000
Hf  0.3369  0.6631  0.0000
Hf  0.6631  0.3369  0.0000
O  0.1628  0.8372  0.0000
O  0.3336  0.6664  0.5000
O  0.5000  0.5000  0.0000
O  0.6664  0.3336  0.5000
O  0.8372  0.1628  0.0000

---

(4)
The following is a computed powder diffraction line list of Li8Hf4O11. It was derived from a DFT-relaxed cell (GGA-PBE, OQMD), using Cu Ka.

Largest 8 diffraction maxima, in order of falling intensity, 2θ = 15–90°:
d_spacing	Position (°2θ)	I/Imax
4.877	18.19	100.0
2.612	34.33	40.1
4.417	20.10	38.2
4.582	19.37	26.4
2.149	42.04	25.8
2.497	35.97	24.2
3.339	26.70	21.6
2.167	41.68	21.0

Structure:
Cell lengths 5.1980, 5.3125, 9.1616 Å; angles 85.09, 74.75, 79.92 degrees
Element x y z (fractional)
Li  0.0000  0.0000  0.0000
Li  0.0615  0.2656  0.4242
Li  0.1552  0.5350  0.8465
Li  0.3326  0.0175  0.6720
Li  0.4989  0.4949  0.5082
Li  0.5767  0.7630  0.9228
Li  0.6569  0.0165  0.3485
Li  0.8323  0.5177  0.1679
Hf  0.2447  0.7705  0.2559
Hf  0.4099  0.2660  0.0877
Hf  0.7471  0.2662  0.7574
Hf  0.9194  0.7593  0.5886
O  0.0611  0.1375  0.2052
O  0.1025  0.3960  0.6361
O  0.2040  0.6370  0.0555
O  0.2833  0.8636  0.4612
O  0.3851  0.1600  0.8786
O  0.5636  0.6300  0.7058
O  0.5993  0.9120  0.1411
O  0.7106  0.1266  0.5563
O  0.7744  0.3789  0.9612
O  0.8920  0.6529  0.3810
O  0.9569  0.9000  0.7864

---

(5)
The following is a computed powder diffraction line list of Li7HfO6. It was derived from a DFT-relaxed cell (GGA-PBE, OQMD), using Cu Ka.

Largest 8 diffraction maxima, in order of falling intensity, 2θ = 15–90°:
d_spacing	Position (°2θ)	I/Imax
4.580	19.38	100.0
4.040	22.00	74.2
2.424	37.09	47.3
4.948	17.93	31.7
2.939	30.41	28.7
1.848	49.31	27.8
2.527	35.52	19.6
2.377	37.86	15.3

Structure:
Cell lengths 5.8983, 5.8983, 5.8983 Å; angles 56.24, 56.24, 56.24 degrees
Element x y z (fractional)
Li  0.0000  0.0000  0.0000
Li  0.0729  0.8361  0.4710
Li  0.2731  0.5756  0.8351
Li  0.4710  0.0729  0.8361
Li  0.5756  0.8351  0.2731
Li  0.8351  0.2731  0.5756
Li  0.8361  0.4710  0.0729
Hf  0.3437  0.3437  0.3437
O  0.1385  0.4137  0.7319
O  0.2271  0.9740  0.5820
O  0.4137  0.7319  0.1385
O  0.5820  0.2271  0.9740
O  0.7319  0.1385  0.4137
O  0.9740  0.5820  0.2271

---

(6)
The following is a computed powder diffraction line list of LiHf2O6. It was derived from a DFT-relaxed cell (GGA-PBE, OQMD), using Cu Ka.

Largest 8 diffraction maxima, in order of falling intensity, 2θ = 15–90°:
d_spacing	Position (°2θ)	I/Imax
4.692	18.91	100.0
3.945	22.54	98.0
2.819	31.74	78.8
2.231	40.43	65.9
3.181	28.05	48.4
2.331	38.63	33.0
4.987	17.79	31.6
2.362	38.10	31.1

Structure:
Cell lengths 5.6592, 5.6592, 3.9707 Å; angles 93.08, 93.08, 123.56 degrees
Element x y z (fractional)
Li  0.0000  0.0000  0.0000
Hf  0.3839  0.6161  0.5000
Hf  0.6928  0.3072  0.5000
O  0.0208  0.5381  0.1910
O  0.0560  0.3695  0.8077
O  0.3211  0.2431  0.3256
O  0.4619  0.9792  0.8090
O  0.6305  0.9440  0.1923
O  0.7569  0.6789  0.6744

---

(7)
The following is a computed powder diffraction line list of Li5HfO4. It was derived from a DFT-relaxed cell (GGA-PBE, OQMD), using Cu Ka.

Largest 8 diffraction maxima, in order of falling intensity, 2θ = 15–90°:
d_spacing	Position (°2θ)	I/Imax
5.456	16.25	100.0
5.287	16.77	90.6
2.406	37.38	61.6
3.849	23.11	44.1
3.746	23.75	40.5
2.663	33.66	35.8
1.895	48.02	33.9
1.872	48.64	26.7

Structure:
Cell lengths 5.2894, 3.0817, 5.4575 Å; angles 90.00, 91.55, 90.00 degrees
Element x y z (fractional)
Li  0.0000  0.0000  0.0000
Li  0.3496  0.5000  0.1437
Li  0.3844  0.0000  0.6778
Li  0.6156  0.0000  0.3222
Li  0.6504  0.5000  0.8563
Hf  0.0000  0.5000  0.5000
O  0.2393  0.5000  0.8141
O  0.2512  0.0000  0.3274
O  0.7488  0.0000  0.6726
O  0.7607  0.5000  0.1859